Theoretical powder X-ray diffraction pattern
Compound: AlZn2SbH12O12
Radiation: Cu Kα
Structure: the GGA-PBE geometry in the Materials Project
Peak positions follow from Bragg's law for the DFT cell and can differ from measured ones.

The 8 most intense peaks (2θ from 10° to 90°), in order of falling intensity:
| (hkl) | d/Å | I (rel.) |
| --- | --- | --- |
| 0 1 1 | 4.264 | 1000 |
| 0 0 2 | 4.951 | 952 |
| 1 1 2 | 2.389 | 647 |
| 1 1 4 | 1.833 | 461 |
| 0 1 3 | 2.706 | 311 |
| 1 0 0 | 4.724 | 257 |
| 1 1 0 | 2.727 | 239 |
| 3 -1 1 | 1.757 | 219 |

```
AlZn2SbH12O12
1.0
5.4550 0.0000 0.0000
-2.7275 4.7242 0.0000
0.0000 0.0000 9.9013
Al Zn Sb H O
1 2 1 12 12
Cartesian
0.0000 0.0000 0.0000
0.0000 3.1494 0.0599
2.7275 1.5747 9.8415
0.0000 0.0000 4.9507
-0.7152 1.4569 7.9240
-1.1244 3.1655 6.0534
-1.1081 4.6151 7.9240
0.9041 1.3479 1.9773
0.5483 2.1676 6.0534
2.1514 0.6090 3.8479
0.5761 4.1152 6.0534
2.1792 2.5566 3.8479
1.8234 3.3763 7.9240
3.8356 0.1090 1.9773
3.8519 1.5586 3.8479
3.4427 3.2672 1.9773
-0.8188 1.4392 8.9019
-0.2685 1.6067 6.1279
-1.2018 4.1533 6.1279
-1.0717 4.7136 8.9019
0.8370 1.4287 0.9994
1.2572 1.0359 3.7734
1.4703 3.6883 6.1279
1.8905 3.2955 8.9019
3.7992 0.0105 0.9994
3.9293 0.5708 3.7734
2.9960 3.1174 3.7734
3.5463 3.2850 0.9994
```

---

Theoretical powder X-ray diffraction pattern
Compound: AlH5Se2O8
Radiation: Cu Kα
Structure: the GGA-PBE geometry in the Materials Project
Peak positions follow from Bragg's law for the DFT cell and can differ from measured ones.

The 8 most intense peaks (2θ from 10° to 90°), in order of falling intensity:
| (hkl) | d/Å | I (rel.) |
| --- | --- | --- |
| 1 1 0 | 4.461 | 1000 |
| 0 1 2 | 3.169 | 428 |
| 2 1 -2 | 3.143 | 354 |
| 2 2 0 | 2.231 | 254 |
| 0 1 1 | 4.864 | 226 |
| 0 2 0 | 3.293 | 214 |
| 2 1 -4 | 2.115 | 140 |
| 2 0 0 | 3.030 | 137 |

```
AlH5Se2O8
1.0
7.4879 0.0000 0.0000
0.0000 6.5854 0.0000
-5.2491 0.0000 7.2301
Al H Se O
2 10 4 16
Cartesian
0.0000 0.0000 0.0000
-2.6246 3.2927 3.6150
0.9076 1.4429 1.9132
-1.7169 1.8498 5.5282
-0.7468 1.6128 4.2714
1.8778 1.6800 0.6564
1.1194 0.0000 3.6150
3.7439 3.2927 0.0000
0.3609 4.9055 6.5737
2.9855 4.9727 2.9587
3.9557 4.7356 1.7018
1.3311 5.1425 5.3169
0.0928 4.5961 2.4986
-2.5317 5.2820 6.1137
4.7705 1.3034 1.1164
2.1459 1.9893 4.7314
-3.2139 3.9339 5.2828
-0.5893 5.9443 1.6677
0.9417 1.4670 0.9211
-1.6829 1.8257 4.5361
-1.0632 4.3749 3.7450
1.5613 5.5033 0.1299
0.8919 1.1961 3.7513
3.5164 2.0966 0.1363
-1.2777 4.4888 7.0938
1.3469 5.3894 3.4787
0.6774 1.0822 7.1001
3.3020 2.2105 3.4851
3.9216 4.7597 2.6940
1.2971 5.1184 6.3090
2.8281 0.6412 5.5623
5.4526 2.6516 1.9473
```

---

Theoretical powder X-ray diffraction pattern
Compound: AlH4Se2O8
Radiation: Cu Kα
Structure: the GGA-PBE geometry in the Materials Project
Peak positions follow from Bragg's law for the DFT cell and can differ from measured ones.

The 8 most intense peaks (2θ from 10° to 90°), in order of falling intensity:
| (hkl) | d/Å | I (rel.) |
| --- | --- | --- |
| 1 1 0 | 4.453 | 1000 |
| 2 1 -2 | 3.129 | 440 |
| 0 1 2 | 3.173 | 399 |
| 2 0 -4 | 2.227 | 273 |
| 0 2 0 | 3.320 | 254 |
| 1 1 -1 | 4.848 | 215 |
| 2 1 -4 | 2.114 | 169 |
| 1 2 -2 | 2.663 | 159 |

```
AlH4Se2O8
1.0
7.4086 0.0000 0.0000
0.0000 6.6403 0.0000
-5.2401 0.0000 7.2211
Al H Se O
2 8 4 16
Cartesian
0.0000 0.0000 0.0000
-2.6201 3.3201 3.6105
2.0947 1.4385 0.2840
-0.5254 1.8816 3.8946
1.1717 1.6611 1.5859
-1.4483 1.6591 5.1964
3.6168 4.9812 2.0247
0.9968 4.9792 5.6352
2.6939 4.7586 3.3265
0.0738 5.2018 6.9371
-2.8120 4.6748 6.5419
-0.1919 5.2856 2.9313
2.3604 1.3547 4.2898
4.9805 1.9654 0.6792
-1.1947 3.9358 2.5267
-3.8148 6.0246 6.1372
1.1454 1.4723 0.6056
-1.4746 1.8479 4.2162
-1.9872 4.3920 5.0597
0.6328 5.5684 1.4492
-1.5072 1.3580 6.9115
1.1129 1.9621 3.3010
1.0556 4.6781 3.9201
3.6757 5.2823 0.3096
1.5357 1.0718 5.7719
4.1558 2.2483 2.1614
3.6431 4.7924 3.0049
1.0231 5.1680 6.6155
5.9833 0.6157 1.0839
3.3632 2.7044 4.6944
```